Entry 1:
This entry pairs a crystal structure of Ba5In5O12 with its simulated powder XRD pattern. Radiation: copper Kα. Structure: a PBE-relaxed structure.
No peak broadening, texture or thermal motion is included.

Atomic structure:
Unit cell a=5.994 b=7.365 c=9.757 alpha=71.97 beta=72.93 gamma=88.61
Element x y z (fractional)
Ba1 0.000 0.000 0.000
Ba2 0.201 0.776 0.604
Ba3 0.392 0.599 0.200
Ba4 0.608 0.401 0.800
Ba5 0.799 0.224 0.396
In1 0.000 0.500 0.000
In2 0.180 0.271 0.607
In3 0.408 0.084 0.209
In4 0.592 0.916 0.791
In5 0.820 0.729 0.393
O1 0.000 0.500 0.500
O2 0.047 0.983 0.269
O3 0.111 0.399 0.801
O4 0.318 0.226 0.386
O5 0.318 0.683 0.914
O6 0.490 0.177 0.661
O7 0.500 0.000 0.000
O8 0.510 0.823 0.339
O9 0.682 0.317 0.086
O10 0.682 0.774 0.614
O11 0.889 0.601 0.199
O12 0.953 0.017 0.731

Main lines, in order of rising 2θ (10° ≤ 2θ ≤ 90°):
d_spacing, two_theta, Rel. int.
3.078, 29.0, 50
3.067, 29.1, 48
3.020, 29.6, 100
2.995, 29.8, 56
2.946, 30.3, 53
2.212, 40.8, 32
2.136, 42.3, 25
2.066, 43.8, 23
1.734, 52.8, 18
1.705, 53.8, 17

Entry 2:
This entry pairs a crystal structure of Ba8In8O19 with its simulated powder XRD pattern. Radiation: copper Kα. Structure: a PBE-relaxed structure.
No peak broadening, texture or thermal motion is included.

Atomic structure:
Unit cell a=9.478 b=9.478 c=8.627 alpha=90.91 beta=90.91 gamma=125.07
Element x y z (fractional)
Ba1 0.120 0.829 0.517
Ba2 0.139 0.861 0.000
Ba3 0.335 0.614 0.016
Ba4 0.357 0.637 0.498
Ba5 0.614 0.335 0.016
Ba6 0.637 0.357 0.498
Ba7 0.829 0.120 0.517
Ba8 0.861 0.139 0.000
In1 0.188 0.188 0.311
In2 0.247 0.247 0.675
In3 0.488 0.990 0.259
In4 0.489 0.990 0.761
In5 0.690 0.690 0.777
In6 0.756 0.756 0.214
In7 0.990 0.488 0.259
In8 0.990 0.489 0.761
O1 0.106 0.327 0.786
O2 0.162 0.386 0.244
O3 0.231 0.748 0.256
O4 0.250 0.729 0.755
O5 0.327 0.106 0.786
O6 0.386 0.162 0.244
O7 0.480 0.995 0.510
O8 0.488 0.488 0.636
O9 0.494 0.977 0.009
O10 0.610 0.836 0.302
O11 0.617 0.617 0.008
O12 0.673 0.896 0.744
O13 0.729 0.250 0.755
O14 0.748 0.231 0.256
O15 0.836 0.610 0.302
O16 0.896 0.673 0.744
O17 0.977 0.494 0.009
O18 0.989 0.989 0.157
O19 0.995 0.480 0.510

Main lines, in order of rising 2θ (10° ≤ 2θ ≤ 90°):
d_spacing, two_theta, Rel. int.
3.123, 28.6, 34
3.030, 29.5, 64
3.013, 29.7, 100
2.184, 41.3, 18
2.155, 41.9, 14
2.103, 43.0, 15
1.789, 51.1, 10
1.748, 52.3, 13
1.737, 52.7, 11
1.725, 53.1, 10

Entry 3:
This entry pairs a crystal structure of Ba4In6O13 with its simulated powder XRD pattern. Radiation: copper Kα. Structure: a PBE-relaxed structure.
No peak broadening, texture or thermal motion is included.

Atomic structure:
Unit cell a=12.627 b=12.627 c=12.627 alpha=123.03 beta=64.11 gamma=153.06
Element x y z (fractional)
Ba1 0.154 0.626 0.785
Ba2 0.163 0.124 0.287
Ba3 0.337 0.624 0.961
Ba4 0.342 0.126 0.472
Ba5 0.654 0.869 0.528
Ba6 0.663 0.376 0.039
Ba7 0.837 0.876 0.713
Ba8 0.842 0.369 0.215
In1 0.042 0.886 0.938
In2 0.250 0.377 0.626
In3 0.251 0.877 0.126
In4 0.409 0.821 0.337
In5 0.448 0.386 0.845
In6 0.484 0.072 0.663
In7 0.542 0.603 0.155
In8 0.750 0.125 0.874
In9 0.751 0.625 0.374
In10 0.909 0.572 0.588
In11 0.948 0.103 0.062
In12 0.984 0.321 0.412
O1 0.004 0.000 0.503
O2 0.004 0.745 0.255
O3 0.074 0.390 0.248
O4 0.079 0.045 0.875
O5 0.138 0.380 0.508
O6 0.142 0.826 0.752
O7 0.166 0.901 0.023
O8 0.170 0.204 0.125
O9 0.220 0.720 0.500
O10 0.372 0.880 0.242
O11 0.378 0.401 0.736
O12 0.490 0.749 0.745
O13 0.497 0.501 0.497
O14 0.504 0.001 0.004
O15 0.504 0.249 0.259
O16 0.574 0.326 0.683
O17 0.579 0.704 0.034
O18 0.638 0.130 0.758
O19 0.642 0.890 0.317
O20 0.666 0.643 0.264
O21 0.670 0.545 0.966
O22 0.720 0.220 0.500
O23 0.872 0.630 0.492
O24 0.878 0.143 0.977
O25 0.990 0.245 0.741
O26 0.997 0.500 0.996

Main lines, in order of rising 2θ (10° ≤ 2θ ≤ 90°):
d_spacing, two_theta, Rel. int.
3.011, 29.7, 30
3.001, 29.8, 100
2.941, 30.4, 28
2.140, 42.2, 12
2.104, 43.0, 26
1.744, 52.5, 9
1.736, 52.7, 20
1.731, 52.9, 9
1.709, 53.6, 19
1.500, 61.8, 12

Entry 4:
This entry pairs a crystal structure of Ba8In6O17 with its simulated powder XRD pattern. Radiation: copper Kα. Structure: a PBE-relaxed structure.
No peak broadening, texture or thermal motion is included.

Atomic structure:
Unit cell a=15.185 b=15.185 c=6.202 alpha=90.03 beta=90.03 gamma=156.26
Element x y z (fractional)
Ba1 0.051 0.462 0.233
Ba2 0.173 0.310 0.257
Ba3 0.310 0.173 0.257
Ba4 0.462 0.051 0.233
Ba5 0.538 0.949 0.767
Ba6 0.690 0.827 0.743
Ba7 0.827 0.690 0.743
Ba8 0.949 0.538 0.767
In1 0.088 0.370 0.724
In2 0.264 0.264 0.765
In3 0.370 0.088 0.724
In4 0.630 0.912 0.276
In5 0.736 0.736 0.235
In6 0.912 0.630 0.276
O1 0.000 0.000 0.000
O2 0.113 0.529 0.802
O3 0.117 0.254 0.696
O4 0.140 0.860 0.000
O5 0.160 0.840 0.500
O6 0.254 0.117 0.696
O7 0.368 0.632 0.500
O8 0.471 0.887 0.198
O9 0.500 0.500 0.000
O10 0.500 0.500 0.500
O11 0.529 0.113 0.802
O12 0.632 0.368 0.500
O13 0.746 0.883 0.304
O14 0.840 0.160 0.500
O15 0.860 0.140 0.000
O16 0.883 0.746 0.304
O17 0.887 0.471 0.198

Main lines, in order of rising 2θ (10° ≤ 2θ ≤ 90°):
d_spacing, two_theta, Rel. int.
3.123, 28.6, 29
3.101, 28.8, 29
3.056, 29.2, 100
2.203, 41.0, 16
2.198, 41.1, 13
2.123, 42.6, 11
1.790, 51.0, 22
1.782, 51.3, 20
1.756, 52.1, 9
1.752, 52.2, 9

Entry 5:
This entry pairs a crystal structure of BaIn2O4 with its simulated powder XRD pattern. Radiation: copper Kα. Structure: a PBE-relaxed structure.
No peak broadening, texture or thermal motion is included.

Atomic structure:
Unit cell a=10.577 b=5.930 c=14.674 alpha=90.00 beta=109.97 gamma=90.00
Element x y z (fractional)
Ba1 0.080 0.244 0.439
Ba2 0.080 0.256 0.939
Ba3 0.245 0.742 0.309
Ba4 0.245 0.758 0.809
Ba5 0.755 0.242 0.191
Ba6 0.755 0.258 0.691
Ba7 0.920 0.744 0.061
Ba8 0.920 0.756 0.561
In1 0.082 0.243 0.186
In2 0.082 0.257 0.686
In3 0.273 0.749 0.570
In4 0.273 0.751 0.070
In5 0.379 0.246 0.694
In6 0.379 0.254 0.194
In7 0.444 0.246 0.447
In8 0.444 0.254 0.947
In9 0.556 0.746 0.053
In10 0.556 0.754 0.553
In11 0.621 0.746 0.806
In12 0.621 0.754 0.306
In13 0.727 0.249 0.930
In14 0.727 0.251 0.430
In15 0.918 0.743 0.314
In16 0.918 0.757 0.814
O1 0.009 0.017 0.268
O2 0.009 0.483 0.768
O3 0.091 0.693 0.447
O4 0.091 0.807 0.947
O5 0.188 0.043 0.615
O6 0.188 0.457 0.115
O7 0.217 0.507 0.656
O8 0.217 0.993 0.156
O9 0.284 0.202 0.818
O10 0.284 0.298 0.318
O11 0.367 0.579 0.980
O12 0.367 0.921 0.480
O13 0.419 0.052 0.065
O14 0.419 0.448 0.565
O15 0.460 0.596 0.192
O16 0.460 0.904 0.692
O17 0.540 0.096 0.308
O18 0.540 0.404 0.808
O19 0.581 0.552 0.435
O20 0.581 0.948 0.935
O21 0.633 0.079 0.520
O22 0.633 0.421 0.020
O23 0.716 0.702 0.682
O24 0.716 0.798 0.182
O25 0.783 0.007 0.844
O26 0.783 0.493 0.344
O27 0.812 0.543 0.885
O28 0.812 0.957 0.385
O29 0.909 0.193 0.053
O30 0.909 0.307 0.553
O31 0.991 0.517 0.232
O32 0.991 0.983 0.732

Main lines, in order of rising 2θ (10° ≤ 2θ ≤ 90°):
d_spacing, two_theta, Rel. int.
2.981, 30.0, 100
2.965, 30.1, 50
2.944, 30.4, 46
2.893, 30.9, 84
2.089, 43.3, 45
2.063, 43.9, 20
1.724, 53.1, 30
1.715, 53.4, 23
1.698, 54.0, 18
1.693, 54.2, 17

Entry 6:
This entry pairs a crystal structure of BaInO3 with its simulated powder XRD pattern. Radiation: copper Kα. Structure: a PBE-relaxed structure.
No peak broadening, texture or thermal motion is included.

Atomic structure:
Unit cell a=8.650 b=4.282 c=4.282 alpha=89.32 beta=90.00 gamma=90.00
Element x y z (fractional)
Ba1 0.234 0.000 0.000
Ba2 0.766 0.000 0.000
In1 0.000 0.503 0.503
In2 0.500 0.475 0.475
O1 0.000 0.003 0.493
O2 0.000 0.493 0.003
O3 0.253 0.512 0.512
O4 0.500 0.370 0.975
O5 0.500 0.975 0.370
O6 0.747 0.512 0.512

Main lines, in order of rising 2θ (10° ≤ 2θ ≤ 90°):
d_spacing, two_theta, Rel. int.
3.043, 29.3, 100
3.010, 29.7, 21
2.162, 41.8, 12
2.141, 42.2, 23
1.763, 51.9, 8
1.757, 52.0, 24
1.744, 52.5, 17
1.522, 60.9, 17
1.355, 69.3, 6
1.151, 84.1, 8

Entry 7:
This entry pairs a crystal structure of BaInO3 with its simulated powder XRD pattern. Radiation: copper Kα. Structure: a PBE-relaxed structure.
No peak broadening, texture or thermal motion is included.

Atomic structure:
Unit cell a=4.286 b=4.286 c=4.286 alpha=90.00 beta=90.00 gamma=90.00
Element x y z (fractional)
Ba1 0.000 0.000 0.000
In1 0.500 0.500 0.500
O1 0.000 0.500 0.500
O2 0.500 0.000 0.500
O3 0.500 0.500 0.000

Main lines, in order of rising 2θ (10° ≤ 2θ ≤ 90°):
d_spacing, two_theta, Rel. int.
3.031, 29.5, 100
2.474, 36.3, 3
2.143, 42.2, 31
1.750, 52.3, 40
1.515, 61.2, 19
1.355, 69.3, 17
1.292, 73.3, 1
1.237, 77.1, 6
1.145, 84.6, 21

Entry 8:
This entry pairs a crystal structure of Ba2InOsO6 with its simulated powder XRD pattern. Radiation: copper Kα. Structure: a PBE-relaxed structure.
No peak broadening, texture or thermal motion is included.

Atomic structure:
Unit cell a=5.897 b=5.897 c=5.897 alpha=60.00 beta=60.00 gamma=60.00
Element x y z (fractional)
Ba1 0.250 0.250 0.250
Ba2 0.750 0.750 0.750
In1 0.000 0.000 0.000
Os1 0.500 0.500 0.500
O1 0.261 0.261 0.739
O2 0.261 0.739 0.261
O3 0.261 0.739 0.739
O4 0.739 0.261 0.261
O5 0.739 0.261 0.739
O6 0.739 0.739 0.261

Main lines, in order of rising 2θ (10° ≤ 2θ ≤ 90°):
d_spacing, two_theta, Rel. int.
4.815, 18.4, 4
4.170, 21.3, 2
2.949, 30.3, 100
2.515, 35.7, 2
2.085, 43.4, 29
1.702, 53.9, 40
1.474, 63.1, 18
1.319, 71.6, 18
1.204, 79.6, 6
1.115, 87.5, 22